(1)
# CaEr2Cd5
Simulated powder diffractogram, λ = 1.5418 Å (Cu Kα). Input: a structure optimized by DFT (GGA-PBE).

```
data_CaEr2Cd5
_symmetry_space_group_name_H-M 'I 4/m m m'
_symmetry_Int_Tables_number 139
_symmetry_space_group_name_Hall '-I 4 2'
_cell_length_a 5.1438
_cell_length_b 5.1438
_cell_length_c 15.0657
_cell_angle_alpha 90.00
_cell_angle_beta 90.00
_cell_angle_gamma 90.00
loop_
_atom_site_label
_atom_site_type_symbol
_atom_site_fract_x
_atom_site_fract_y
_atom_site_fract_z
Ca1 Ca 0.0000 0.0000 0.0000
Er1 Er 0.0000 0.0000 0.2610
Cd1 Cd 0.0000 0.0000 0.5000
Cd2 Cd 0.0000 0.5000 0.1233
```

Peak list (10 most intense, 2θ from 10° to 80°, sorted by position)
2θ (°), intensity, hkl
11.75, 86, 0 0 2
27.23, 66, 1 1 2
34.27, 1000, 1 1 4
34.89, 490, 2 0 0
48.33, 85, 0 0 8
50.16, 171, 2 2 0
60.98, 166, 2 0 8
62.16, 341, 3 1 4
72.21, 99, 2 2 8
73.67, 53, 4 0 0

(2)
# Tl3OsN
Simulated powder diffractogram, λ = 1.5418 Å (Cu Kα). Input: a structure optimized by DFT (GGA-PBE).

```
data_Tl3OsN
_symmetry_space_group_name_H-M 'P m -3 m'
_symmetry_Int_Tables_number 221
_symmetry_space_group_name_Hall '-P 4 2 3'
_cell_length_a 5.3176
_cell_length_b 5.3176
_cell_length_c 5.3176
_cell_angle_alpha 90.00
_cell_angle_beta 90.00
_cell_angle_gamma 90.00
loop_
_atom_site_label
_atom_site_type_symbol
_atom_site_fract_x
_atom_site_fract_y
_atom_site_fract_z
Tl1 Tl 0.0000 0.0000 0.5000
Os1 Os 0.0000 0.0000 0.0000
N1 N 0.5000 0.5000 0.5000
```

Peak list (10 most intense, 2θ from 10° to 80°, sorted by position)
2θ (°), intensity, hkl
16.67, 1000, 1 0 0
29.09, 472, 1 1 1
33.71, 847, 2 0 0
37.83, 542, 2 1 0
48.42, 621, 2 2 0
51.56, 286, 3 0 0
57.48, 212, 3 1 1
60.29, 216, 2 2 2
63.03, 127, 3 2 0
73.42, 164, 4 1 0

(3)
# NaLi2La3Ti6O18
Simulated powder diffractogram, λ = 1.5418 Å (Cu Kα). Input: a structure optimized by DFT (GGA-PBE).

```
data_NaLi2La3Ti6O18
_symmetry_space_group_name_H-M 'C 1 2 1'
_symmetry_Int_Tables_number 5
_symmetry_space_group_name_Hall 'C 2y'
_cell_length_a 9.6135
_cell_length_b 16.4948
_cell_length_c 5.5367
_cell_angle_alpha 90.00
_cell_angle_beta 125.14
_cell_angle_gamma 90.00
loop_
_atom_site_label
_atom_site_type_symbol
_atom_site_fract_x
_atom_site_fract_y
_atom_site_fract_z
Na1 Na 0.0000 0.0000 0.0000
Li1 Li 0.0014 0.5820 0.2476
La1 La 0.0000 0.1669 0.5000
La2 La 0.0000 0.3370 0.0000
La3 La 0.0000 0.8249 0.5000
Ti1 Ti 0.2449 0.0005 0.7416
Ti2 Ti 0.2468 0.1617 0.2382
Ti3 Ti 0.2469 0.8366 0.2507
O1 O 0.0000 0.0063 0.5000
O2 O 0.0000 0.1569 0.0000
O3 O 0.0000 0.3335 0.5000
O4 O 0.0000 0.4932 0.0000
O5 O 0.0000 0.6690 0.5000
O6 O 0.0000 0.8231 0.0000
O7 O 0.2237 0.2387 0.9529
O8 O 0.2319 0.2606 0.4423
O9 O 0.2331 0.9208 0.4630
O10 O 0.2360 0.8978 0.9377
O11 O 0.2457 0.5713 0.9674
O12 O 0.2485 0.5935 0.4591
```

Peak list (10 most intense, 2θ from 10° to 80°, sorted by position)
2θ (°), intensity, hkl
10.73, 297, 0 2 0
12.47, 207, 1 1 0
16.89, 252, 1 1 -1
32.33, 1000, 2 0 -2
32.57, 199, 0 6 0
46.19, 188, 4 0 0
46.56, 345, 2 6 -2
57.67, 243, 1 3 -3
57.97, 155, 1 9 1
67.68, 240, 6 6 -2